This entry pairs a crystal structure of KMgC2O10 with its simulated X-ray powder pattern. Radiation: Cu Kα (weighted mean of Kα1 and Kα2). Structure: a crystal structure in the Materials Project, relaxed with GGA-PBE.

Most intense lines, 2θ = 5–70°, in order of rising 2θ:
| 2theta | d (Å) | intensity | (hkl) |
| --- | --- | --- | --- |
| 17.80 | 4.983 | 45.2 | 1 0 0 |
| 21.39 | 4.154 | 68.3 | 1 0 -1 |
| 23.91 | 3.721 | 100.0 | 0 1 -1 |
| 26.25 | 3.394 | 34.3 | 1 -1 0 |
| 26.59 | 3.353 | 58.6 | 1 1 -1 |
| 28.91 | 3.089 | 38.3 | 1 2 1 |
| 30.68 | 2.914 | 41.7 | 1 2 0 |
| 31.21 | 2.865 | 76.9 | 1 0 -2 |
| 33.04 | 2.711 | 42.9 | 1 -1 1 |
| 37.83 | 2.378 | 33.2 | 1 2 -1 |
| 42.12 | 2.145 | 80.0 | -2 1 1 |
| 43.74 | 2.069 | 45.0 | 2 2 2 |

Atomic structure:
```
data_KMgC2O10
_space_group_name_H-M_alt 'P -1'
_space_group_IT_number 2
_cell_length_a 5.173
_cell_length_b 6.706
_cell_length_c 7.197
_cell_angle_alpha 66.64
_cell_angle_beta 88.74
_cell_angle_gamma 75.27
loop_
_space_group_symop_operation_xyz
'x,y,z'
'-x,-y,-z'
loop_
_atom_site_label
_atom_site_type_symbol
_atom_site_fract_x
_atom_site_fract_y
_atom_site_fract_z
K1 K 0.000 0.000 0.000
Mg1 Mg 0.500 0.500 0.500
C1 C 0.384 0.300 0.203
O1 O 0.164 0.732 0.515
O2 O 0.219 0.301 0.073
O3 O 0.312 0.438 0.288
O4 O 0.385 0.841 0.758
O5 O 0.477 0.226 0.754
```



This entry pairs a crystal structure of Tl2TeI6 with its simulated X-ray powder pattern. Radiation: Cu Kα (weighted mean of Kα1 and Kα2). Structure: a crystal structure in the Materials Project, relaxed with GGA-PBE.

Most intense lines, 2θ = 5–70°, in order of rising 2θ:
| 2theta | d (Å) | intensity | (hkl) |
| --- | --- | --- | --- |
| 16.96 | 5.228 | 35.0 | 1 1 -2 |
| 25.64 | 3.475 | 48.8 | 2 1 -1 |
| 25.86 | 3.445 | 100.0 | 0 2 2 |
| 27.00 | 3.303 | 37.2 | 2 0 0 |
| 27.23 | 3.275 | 36.8 | 2 0 -4 |
| 30.44 | 2.936 | 52.5 | 2 2 -2 |
| 31.20 | 2.867 | 93.7 | 0 0 4 |
| 33.13 | 2.704 | 38.8 | 1 3 -1 |
| 34.05 | 2.633 | 36.7 | 1 3 0 |
| 38.43 | 2.342 | 26.9 | 3 1 -1 |
| 38.72 | 2.326 | 28.5 | 3 1 -5 |
| 46.07 | 1.970 | 23.0 | 1 2 4 |

Atomic structure:
```
data_Tl2TeI6
_space_group_name_H-M_alt 'P 1 21/c 1'
_space_group_IT_number 14
_cell_length_a 8.025
_cell_length_b 8.618
_cell_length_c 13.948
_cell_angle_alpha 90.00
_cell_angle_beta 124.60
_cell_angle_gamma 90.00
loop_
_space_group_symop_operation_xyz
'x,y,z'
'-x,-y,-z'
'-x,y+1/2,-z+1/2'
'x,-y+1/2,z+1/2'
loop_
_atom_site_label
_atom_site_type_symbol
_atom_site_fract_x
_atom_site_fract_y
_atom_site_fract_z
Tl1 Tl 0.219 0.096 0.247
Te1 Te 0.500 0.000 0.000
I1 I 0.150 0.189 0.953
I2 I 0.271 0.706 0.959
I3 I 0.340 0.010 0.748
```



This entry pairs a crystal structure of ZnBiAsO5 with its simulated X-ray powder pattern. Radiation: Cu Kα (weighted mean of Kα1 and Kα2). Structure: a crystal structure in the Materials Project, relaxed with GGA-PBE.

Most intense lines, 2θ = 5–70°, in order of rising 2θ:
| 2theta | d (Å) | intensity | (hkl) |
| --- | --- | --- | --- |
| 14.68 | 6.033 | 66.6 | 0 1 1 |
| 21.86 | 4.066 | 62.7 | 0 2 0 |
| 28.71 | 3.109 | 100.0 | 2 1 1 |
| 29.61 | 3.017 | 15.4 | 0 2 2 |
| 31.68 | 2.824 | 24.9 | 2 0 2 |
| 31.80 | 2.814 | 48.8 | 0 1 3 |
| 34.57 | 2.595 | 17.2 | 0 3 1 |
| 38.82 | 2.320 | 38.0 | 2 2 2 |
| 42.84 | 2.111 | 25.3 | 2 3 1 |
| 47.55 | 1.912 | 20.3 | 2 0 4 |
| 55.73 | 1.649 | 14.5 | 2 4 2 |
| 60.72 | 1.525 | 16.0 | 4 1 3 |

Atomic structure:
```
data_ZnBiAsO5
_space_group_name_H-M_alt 'P 21 21 21'
_space_group_IT_number 19
_cell_length_a 7.255
_cell_length_b 8.131
_cell_length_c 8.999
_cell_angle_alpha 90.00
_cell_angle_beta 90.00
_cell_angle_gamma 90.00
loop_
_space_group_symop_operation_xyz
'x,y,z'
'-x+1/2,-y,z+1/2'
'x+1/2,-y+1/2,-z'
'-x,y+1/2,-z+1/2'
loop_
_atom_site_label
_atom_site_type_symbol
_atom_site_fract_x
_atom_site_fract_y
_atom_site_fract_z
Zn1 Zn 0.051 0.244 0.182
Bi1 Bi 0.238 0.749 0.015
As1 As 0.010 0.370 0.851
O1 O 0.001 0.349 0.362
O2 O 0.003 0.055 0.550
O3 O 0.036 0.212 0.975
O4 O 0.190 0.845 0.751
O5 O 0.201 0.377 0.737
```



This entry pairs a crystal structure of Cs2YAuCl6 with its simulated X-ray powder pattern. Radiation: Cu Kα (weighted mean of Kα1 and Kα2). Structure: a crystal structure in the Materials Project, relaxed with GGA-PBE.

Most intense lines, 2θ = 5–70°, in order of rising 2θ:
| 2theta | d (Å) | intensity | (hkl) |
| --- | --- | --- | --- |
| 14.11 | 6.278 | 7.6 | 1 1 1 |
| 16.30 | 5.437 | 5.5 | 2 0 0 |
| 23.13 | 3.845 | 100.0 | 2 2 0 |
| 27.20 | 3.279 | 7.0 | 3 1 1 |
| 28.43 | 3.139 | 6.7 | 2 2 2 |
| 32.95 | 2.719 | 53.1 | 4 0 0 |
| 40.65 | 2.220 | 46.7 | 4 2 2 |
| 47.29 | 1.922 | 36.7 | 4 4 0 |
| 53.28 | 1.719 | 21.7 | 6 2 0 |
| 58.84 | 1.570 | 12.5 | 4 4 4 |
| 64.08 | 1.453 | 25.1 | 6 4 2 |
| 69.10 | 1.359 | 5.7 | 8 0 0 |

Atomic structure:
```
data_Cs2YAuCl6
_space_group_name_H-M_alt 'F m -3 m'
_space_group_IT_number 225
_space_group_name_Hall '-F 4 2 3'
_cell_length_a 10.874
_cell_length_b 10.874
_cell_length_c 10.874
_cell_angle_alpha 90.00
_cell_angle_beta 90.00
_cell_angle_gamma 90.00
loop_
_atom_site_label
_atom_site_type_symbol
_atom_site_fract_x
_atom_site_fract_y
_atom_site_fract_z
Cs1 Cs 0.250 0.250 0.250
Y1 Y 0.000 0.000 0.000
Au1 Au 0.000 0.000 0.500
Cl1 Cl 0.000 0.000 0.244
```



This entry pairs a crystal structure of Nb3Cr3N with its simulated X-ray powder pattern. Radiation: Cu Kα (weighted mean of Kα1 and Kα2). Structure: a crystal structure in the Materials Project, relaxed with GGA-PBE.

Most intense lines, 2θ = 5–70°, in order of rising 2θ:
| 2theta | d (Å) | intensity | (hkl) |
| --- | --- | --- | --- |
| 25.69 | 3.468 | 1.5 | 3 1 1 |
| 31.10 | 2.876 | 8.9 | 4 0 0 |
| 33.97 | 2.639 | 19.9 | 3 3 1 |
| 38.34 | 2.348 | 45.6 | 4 2 2 |
| 40.76 | 2.214 | 100.0 | 3 3 3 |
| 44.56 | 2.033 | 29.6 | 4 4 0 |
| 47.42 | 1.917 | 6.6 | 4 4 2 |
| 52.79 | 1.734 | 5.1 | 6 2 2 |
| 57.19 | 1.611 | 9.7 | 5 5 1 |
| 61.97 | 1.497 | 5.7 | 7 3 1 |
| 66.54 | 1.405 | 10.5 | 7 3 3 |
| 69.32 | 1.356 | 40.5 | 6 6 0 |

Atomic structure:
a = 11.502 Å, b = 11.502 Å, c = 11.502 Å
α = 90.00°, β = 90.00°, γ = 90.00°
Space group Fd-3m (No. 227, origin choice 2)
One atom of each set of equivalent atoms:
Nb  0.068  0.375  0.375 [48 per cell]
Cr  0.000  0.000  0.500 [16 per cell]
Cr  0.047  0.047  0.703 [32 per cell]
N  0.000  0.000  0.000 [16 per cell]



This entry pairs a crystal structure of Mg3Si2 with its simulated X-ray powder pattern. Radiation: Cu Kα (weighted mean of Kα1 and Kα2). Structure: a crystal structure in the Materials Project, relaxed with GGA-PBE.

Most intense lines, 2θ = 5–70°, in order of rising 2θ:
| 2theta | d (Å) | intensity | (hkl) |
| --- | --- | --- | --- |
| 34.95 | 2.567 | 50.0 | 0 2 2 |
| 35.46 | 2.532 | 100.0 | 1 1 -4 |
| 35.63 | 2.520 | 55.1 | 2 0 -1 |
| 36.50 | 2.462 | 24.0 | 1 0 5 |
| 37.22 | 2.415 | 40.8 | 1 1 5 |
| 37.35 | 2.407 | 35.1 | 2 0 2 |
| 38.17 | 2.358 | 50.1 | 0 1 -5 |
| 40.23 | 2.242 | 60.1 | -1 1 5 |
| 41.27 | 2.188 | 28.8 | 1 -2 0 |
| 41.45 | 2.178 | 18.3 | 1 2 4 |
| 44.57 | 2.033 | 32.9 | 2 2 1 |
| 45.52 | 1.993 | 15.4 | -1 1 6 |

Atomic structure:
```
data_Mg3Si2
_space_group_name_H-M_alt 'P -1'
_space_group_IT_number 2
_cell_length_a 5.209
_cell_length_b 5.393
_cell_length_c 14.116
_cell_angle_alpha 82.90
_cell_angle_beta 88.50
_cell_angle_gamma 79.60
loop_
_space_group_symop_operation_xyz
'x,y,z'
'-x,-y,-z'
loop_
_atom_site_label
_atom_site_type_symbol
_atom_site_fract_x
_atom_site_fract_y
_atom_site_fract_z
Mg1 Mg 0.063 0.100 0.130
Mg2 Mg 0.150 0.535 0.258
Mg3 Mg 0.208 0.212 0.499
Mg4 Mg 0.233 0.610 0.033
Mg5 Mg 0.324 0.625 0.629
Mg6 Mg 0.415 0.061 0.745
Si1 Si 0.061 0.032 0.320
Si2 Si 0.300 0.125 0.954
Si3 Si 0.305 0.718 0.432
Si4 Si 0.364 0.498 0.837
```